No. 1
Structure and theoretical X-ray powder pattern of Dy8Er6Zr (DFT lattice parameters and positions (PBE); Cu Kα, 1.54184 Å).

Cell lengths 9.7032, 9.7032, 5.7363 Å; angles 90.00, 90.00, 120.00 degrees
Sites, in units of the cell vectors:
Dy1 0.0517 0.2708 0.2647
Dy2 0.2191 0.9483 0.2647
Dy3 0.2708 0.2191 0.7353
Dy4 0.3333 0.6667 0.2634
Dy5 0.6667 0.3333 0.7366
Dy6 0.7292 0.7809 0.2647
Dy7 0.7809 0.0517 0.7353
Dy8 0.9483 0.7292 0.7353
Er1 0.0930 0.4728 0.7525
Er2 0.3798 0.9070 0.7525
Er3 0.4728 0.3798 0.2475
Er4 0.5272 0.6202 0.7525
Er5 0.6202 0.0930 0.2475
Er6 0.9070 0.5272 0.2475
Zr1 0.0000 0.0000 0.0000

The 10 most intense peaks (10° ≤ 2θ ≤ 90°), in order of rising 2θ:
Position (°2θ)	Rel. int.
28.1	21.8
31.2	23.5
32.2	100.0
42.5	18.8
49.7	18.8
56.1	19.9
59.9	17.9
60.5	14.7
82.0	8.8
86.1	7.7

---

No. 2
Structure and theoretical X-ray powder pattern of Rb3ZnGa4 (DFT lattice parameters and positions (PBE); Cu Kα, 1.54184 Å).

Cell lengths 6.0226, 14.4210, 6.3937 Å; angles 90.00, 90.00, 90.00 degrees
Sites, in units of the cell vectors:
Rb1 0.2500 0.0072 0.2152
Rb2 0.2500 0.4928 0.2152
Rb3 0.2500 0.7500 0.5080
Rb4 0.7500 0.2500 0.4920
Rb5 0.7500 0.5072 0.7848
Rb6 0.7500 0.9928 0.7848
Zn1 0.2500 0.2500 0.3238
Zn2 0.7500 0.7500 0.6762
Ga1 0.0144 0.7500 0.0099
Ga2 0.2500 0.1551 0.6993
Ga3 0.2500 0.3449 0.6993
Ga4 0.4856 0.7500 0.0099
Ga5 0.5144 0.2500 0.9901
Ga6 0.7500 0.6551 0.3007
Ga7 0.7500 0.8449 0.3007
Ga8 0.9856 0.2500 0.9901

The 10 most intense peaks (10° ≤ 2θ ≤ 90°), in order of rising 2θ:
Position (°2θ)	Rel. int.
12.3	75.7
23.7	55.8
24.7	59.4
29.7	30.5
30.6	45.9
32.1	100.0
32.3	53.2
32.9	30.6
35.2	69.2
41.2	31.2

---

No. 3
Structure and theoretical X-ray powder pattern of CdH6BrN2 (DFT lattice parameters and positions (PBE); Cu Kα, 1.54184 Å).

Cell lengths 6.8160, 6.8160, 5.9532 Å; angles 90.00, 90.00, 81.25 degrees
Sites, in units of the cell vectors:
Cd1 0.0769 0.9231 0.7500
Cd2 0.9231 0.0769 0.2500
H1 0.0131 0.4996 0.2500
H2 0.1947 0.5276 0.6106
H3 0.1947 0.5276 0.8894
H4 0.4724 0.8053 0.6106
H5 0.4724 0.8053 0.8894
H6 0.4996 0.0131 0.7500
H7 0.5004 0.9869 0.2500
H8 0.5276 0.1947 0.1106
H9 0.5276 0.1947 0.3894
H10 0.8053 0.4724 0.1106
H11 0.8053 0.4724 0.3894
H12 0.9869 0.5004 0.7500
Br1 0.3324 0.6676 0.2500
Br2 0.6676 0.3324 0.7500
N1 0.1102 0.5704 0.7500
N2 0.4296 0.8898 0.7500
N3 0.5704 0.1102 0.2500
N4 0.8898 0.4296 0.2500

The 10 most intense peaks (10° ≤ 2θ ≤ 90°), in order of rising 2θ:
Position (°2θ)	Rel. int.
13.1	34.5
17.1	100.0
25.0	60.5
30.0	41.4
30.5	87.0
34.7	52.8
35.0	22.1
43.1	22.3
43.2	33.9
53.6	16.6

---

No. 4
Structure and theoretical X-ray powder pattern of Ta6ReRu5 (DFT lattice parameters and positions (PBE); Cu Kα, 1.54184 Å).

Cell lengths 7.7456, 7.7456, 7.7456 Å; angles 147.03, 129.51, 61.63 degrees
Sites, in units of the cell vectors:
Ta1 0.0807 0.3348 0.7459
Ta2 0.2429 0.0000 0.2429
Ta3 0.4111 0.6652 0.7459
Ta4 0.5889 0.3348 0.2541
Ta5 0.7571 0.0000 0.7571
Ta6 0.9193 0.6652 0.2541
Re1 0.0000 0.5000 0.5000
Ru1 0.1758 0.1758 0.0000
Ru2 0.3381 0.8381 0.5000
Ru3 0.5000 0.5000 0.0000
Ru4 0.6619 0.1619 0.5000
Ru5 0.8242 0.8242 0.0000

The 10 most intense peaks (10° ≤ 2θ ≤ 90°), in order of rising 2θ:
Position (°2θ)	Rel. int.
39.7	100.0
40.7	23.1
41.1	23.0
55.6	9.4
59.2	15.4
71.2	8.8
71.4	8.9
73.4	15.9
73.9	16.1
85.6	11.0

---

No. 5
Structure and theoretical X-ray powder pattern of Nd2NbS6 (DFT lattice parameters and positions (PBE); Cu Kα, 1.54184 Å).

Cell lengths 6.3467, 6.3467, 12.0921 Å; angles 90.00, 90.00, 90.00 degrees
Sites, in units of the cell vectors:
Nd1 0.0000 0.0000 0.1719
Nd2 0.0000 0.0000 0.8281
Nd3 0.5000 0.5000 0.3281
Nd4 0.5000 0.5000 0.6719
Nb1 0.0000 0.0000 0.5000
Nb2 0.5000 0.5000 0.0000
S1 0.1906 0.1906 0.3561
S2 0.1906 0.1906 0.6439
S3 0.2204 0.2204 0.0000
S4 0.2796 0.7204 0.5000
S5 0.3094 0.6906 0.1439
S6 0.3094 0.6906 0.8561
S7 0.6906 0.3094 0.1439
S8 0.6906 0.3094 0.8561
S9 0.7204 0.2796 0.5000
S10 0.7796 0.7796 0.0000
S11 0.8094 0.8094 0.3561
S12 0.8094 0.8094 0.6439

The 10 most intense peaks (10° ≤ 2θ ≤ 90°), in order of rising 2θ:
Position (°2θ)	Rel. int.
19.8	100.0
26.2	64.3
29.8	13.1
38.8	77.7
40.2	25.2
45.2	15.8
48.6	30.1
49.6	17.3
64.8	12.9
65.6	12.5

---

No. 6
Structure and theoretical X-ray powder pattern of TaNbNiOs (DFT lattice parameters and positions (PBE); Cu Kα, 1.54184 Å).

Cell lengths 6.3003, 6.3003, 6.3003 Å; angles 90.00, 90.00, 90.00 degrees
Sites, in units of the cell vectors:
Ta1 0.0000 0.0000 0.0000
Ta2 0.0000 0.5000 0.5000
Ta3 0.5000 0.0000 0.5000
Ta4 0.5000 0.5000 0.0000
Nb1 0.0000 0.0000 0.5000
Nb2 0.0000 0.5000 0.0000
Nb3 0.5000 0.0000 0.0000
Nb4 0.5000 0.5000 0.5000
Ni1 0.2500 0.2500 0.2500
Ni2 0.2500 0.7500 0.7500
Ni3 0.7500 0.2500 0.7500
Ni4 0.7500 0.7500 0.2500
Os1 0.2500 0.2500 0.7500
Os2 0.2500 0.7500 0.2500
Os3 0.7500 0.2500 0.2500
Os4 0.7500 0.7500 0.7500

The 8 most intense peaks (10° ≤ 2θ ≤ 90°), in order of rising 2θ:
Position (°2θ)	Rel. int.
24.5	18.7
40.5	100.0
47.9	10.0
58.6	16.8
64.5	4.3
73.7	34.0
79.0	3.4
87.6	11.1

---

No. 7
Structure and theoretical X-ray powder pattern of Cs3LaAg2Cl9 (DFT lattice parameters and positions (PBE); Cu Kα, 1.54184 Å).

Cell lengths 7.6441, 7.6441, 9.5146 Å; angles 90.00, 90.00, 120.00 degrees
Sites, in units of the cell vectors:
Cs1 0.0000 0.0000 0.0000
Cs2 0.3333 0.6667 0.6907
Cs3 0.6667 0.3333 0.3093
La1 0.0000 0.0000 0.5000
Ag1 0.3333 0.6667 0.1486
Ag2 0.6667 0.3333 0.8514
Cl1 0.0000 0.5000 0.0000
Cl2 0.1697 0.3395 0.3298
Cl3 0.1697 0.8303 0.3298
Cl4 0.3395 0.1697 0.6702
Cl5 0.5000 0.0000 0.0000
Cl6 0.5000 0.5000 0.0000
Cl7 0.6605 0.8303 0.3298
Cl8 0.8303 0.1697 0.6702
Cl9 0.8303 0.6605 0.6702

The 10 most intense peaks (10° ≤ 2θ ≤ 90°), in order of rising 2θ:
Position (°2θ)	Rel. int.
23.0	86.9
23.3	88.8
28.6	17.5
33.0	100.0
40.3	17.0
40.7	39.2
40.9	20.4
47.0	31.3
47.6	34.6
53.5	17.9

---

No. 8
Structure and theoretical X-ray powder pattern of Mg17Al11Tl (DFT lattice parameters and positions (PBE); Cu Kα, 1.54184 Å).

Cell lengths 9.1675, 9.1675, 9.1786 Å; angles 109.45, 109.45, 109.31 degrees
Sites, in units of the cell vectors:
Mg1 0.0000 0.0000 0.0000
Mg2 0.0497 0.3443 0.6646
Mg3 0.0571 0.6555 0.3465
Mg4 0.2558 0.9354 0.2573
Mg5 0.2593 0.2593 0.9464
Mg6 0.3168 0.6652 0.6683
Mg7 0.3420 0.6593 0.0595
Mg8 0.3443 0.0497 0.6646
Mg9 0.3718 0.9756 0.9797
Mg10 0.6533 0.6533 0.3173
Mg11 0.6555 0.0571 0.3465
Mg12 0.6593 0.3420 0.0595
Mg13 0.6618 0.6618 0.6645
Mg14 0.6652 0.3168 0.6683
Mg15 0.9354 0.2558 0.2573
Mg16 0.9632 0.9632 0.3772
Mg17 0.9756 0.3718 0.9797
Al1 0.0253 0.6608 0.8467
Al2 0.0246 0.8432 0.6613
Al3 0.2937 0.4805 0.2915
Al4 0.4745 0.8391 0.4776
Al5 0.4805 0.2937 0.2915
Al6 0.4857 0.4857 0.8657
Al7 0.6608 0.0253 0.8467
Al8 0.6613 0.8482 0.0301
Al9 0.8391 0.4745 0.4776
Al10 0.8432 0.0246 0.6613
Al11 0.8482 0.6613 0.0301
Tl1 0.2835 0.2835 0.4868

The 10 most intense peaks (10° ≤ 2θ ≤ 90°), in order of rising 2θ:
Position (°2θ)	Rel. int.
11.8	91.0
20.5	65.0
23.7	25.0
26.6	34.8
31.6	38.0
35.9	100.0
36.0	30.3
39.9	34.9
43.5	30.8
43.6	22.1

---

No. 9
Structure and theoretical X-ray powder pattern of Tb3S4Br (DFT lattice parameters and positions (PBE); Cu Kα, 1.54184 Å).

Cell lengths 7.8812, 7.8812, 9.7295 Å; angles 108.45, 108.45, 52.72 degrees
Sites, in units of the cell vectors:
Tb1 0.0055 0.9945 0.5000
Tb2 0.3423 0.3850 0.2778
Tb3 0.3850 0.3423 0.7778
Tb4 0.5816 0.6074 0.6913
Tb5 0.6074 0.5816 0.1913
Tb6 0.9945 0.0055 0.0000
S1 0.0175 0.3359 0.1481
S2 0.1796 0.7882 0.2398
S3 0.2340 0.5759 0.5517
S4 0.3359 0.0175 0.6481
S5 0.3956 0.7147 0.9284
S6 0.5759 0.2340 0.0517
S7 0.7147 0.3956 0.4284
S8 0.7882 0.1796 0.7398
Br1 0.6337 0.9466 0.3493
Br2 0.9466 0.6337 0.8493

The 10 most intense peaks (10° ≤ 2θ ≤ 90°), in order of rising 2θ:
Position (°2θ)	Rel. int.
13.4	63.3
19.4	96.4
22.3	95.3
23.9	79.9
25.5	55.6
26.2	100.0
36.3	89.6
37.6	92.9
39.8	88.3
45.3	76.6

---

No. 10
Structure and theoretical X-ray powder pattern of MgTe2O5 (DFT lattice parameters and positions (PBE); Cu Kα, 1.54184 Å).

Cell lengths 7.3949, 10.8327, 6.0422 Å; angles 90.00, 90.00, 90.00 degrees
Sites, in units of the cell vectors:
Mg1 0.0000 0.0589 0.2500
Mg2 0.0000 0.9411 0.7500
Mg3 0.5000 0.4411 0.7500
Mg4 0.5000 0.5589 0.2500
Te1 0.1369 0.3465 0.0105
Te2 0.1369 0.6535 0.5105
Te3 0.3631 0.1535 0.5105
Te4 0.3631 0.8465 0.0105
Te5 0.6369 0.1535 0.9895
Te6 0.6369 0.8465 0.4895
Te7 0.8631 0.3465 0.4895
Te8 0.8631 0.6535 0.9895
O1 0.0000 0.4401 0.2500
O2 0.0000 0.5599 0.7500
O3 0.1466 0.0649 0.5507
O4 0.1466 0.9351 0.0507
O5 0.1914 0.2061 0.1867
O6 0.1914 0.7939 0.6867
O7 0.3086 0.2939 0.6867
O8 0.3086 0.7061 0.1867
O9 0.3534 0.4351 0.0507
O10 0.3534 0.5649 0.5507
O11 0.5000 0.0599 0.7500
O12 0.5000 0.9401 0.2500
O13 0.6466 0.4351 0.4493
O14 0.6466 0.5649 0.9493
O15 0.6914 0.2939 0.8133
O16 0.6914 0.7061 0.3133
O17 0.8086 0.2061 0.3133
O18 0.8086 0.7939 0.8133
O19 0.8534 0.0649 0.9493
O20 0.8534 0.9351 0.4493

The 10 most intense peaks (10° ≤ 2θ ≤ 90°), in order of rising 2θ:
Position (°2θ)	Rel. int.
14.5	18.3
25.2	100.0
27.5	28.2
29.5	92.2
33.1	20.4
40.8	20.2
49.9	16.4
51.2	28.0
54.3	17.1
68.5	16.7

---

No. 11
Structure and theoretical X-ray powder pattern of Nb6Ga3As (DFT lattice parameters and positions (PBE); Cu Kα, 1.54184 Å).

Cell lengths 5.0681, 7.7533, 10.4061 Å; angles 90.00, 118.67, 90.00 degrees
Sites, in units of the cell vectors:
Nb1 0.0017 0.1686 0.0616
Nb2 0.0017 0.3314 0.5616
Nb3 0.3764 0.1713 0.4373
Nb4 0.3764 0.3287 0.9373
Nb5 0.4094 0.5608 0.2513
Nb6 0.4094 0.9392 0.7513
Nb7 0.5906 0.0608 0.2487
Nb8 0.5906 0.4392 0.7487
Nb9 0.6236 0.6713 0.0627
Nb10 0.6236 0.8287 0.5627
Nb11 0.9983 0.6686 0.4384
Nb12 0.9983 0.8314 0.9384
Ga1 0.0000 0.0000 0.5000
Ga2 0.0000 0.5000 0.0000
Ga3 0.1312 0.6217 0.7554
Ga4 0.1312 0.8783 0.2554
Ga5 0.8688 0.1217 0.7446
Ga6 0.8688 0.3783 0.2446
As1 0.5000 0.0000 0.0000
As2 0.5000 0.5000 0.5000

The 10 most intense peaks (10° ≤ 2θ ≤ 90°), in order of rising 2θ:
Position (°2θ)	Rel. int.
35.1	30.4
35.2	32.9
36.2	52.9
36.5	49.3
37.6	28.6
38.6	28.4
38.7	26.0
39.1	100.0
39.5	30.9
56.3	21.8